# 1
# Pm4Co
Simulated powder diffraction line list, λ = 1.5418 Å (Cu Kα). Input: a DFT-relaxed cell (PBE, Alexandria).
No peak broadening, texture or thermal motion is included.

Crystal structure
a b c (Å): 6.778 6.778 6.474
angles (deg): 90.00 90.00 90.00
Element x y z (fractional)
Pm (0.072, 0.572, 0.240)
Pm (0.072, 0.928, 0.760)
Pm (0.428, 0.572, 0.760)
Pm (0.428, 0.928, 0.240)
Pm (0.572, 0.072, 0.760)
Pm (0.572, 0.428, 0.240)
Pm (0.928, 0.072, 0.240)
Pm (0.928, 0.428, 0.760)
Co (0.250, 0.250, 0.000)
Co (0.750, 0.750, 0.000)

Main lines, sorted by position (10 to 90 degrees two-theta):
d = 3.389 Å, I 23
d = 3.237 Å, I 30
d = 2.745 Å, I 100
d = 2.341 Å, I 33
d = 1.758 Å, I 26
d = 1.593 Å, I 30


# 2
# PrTmH
Simulated powder diffraction line list, λ = 1.5418 Å (Cu Kα). Input: a DFT-relaxed cell (PBE, Alexandria).
No peak broadening, texture or thermal motion is included.

Crystal structure
a b c (Å): 6.961 6.961 6.069
angles (deg): 98.05 98.05 92.34
Element x y z (fractional)
Pr (0.092, 0.283, 0.298)
Pr (0.283, 0.092, 0.798)
Pr (0.717, 0.908, 0.202)
Pr (0.908, 0.717, 0.702)
Tm (0.229, 0.771, 0.250)
Tm (0.411, 0.589, 0.750)
Tm (0.589, 0.411, 0.250)
Tm (0.771, 0.229, 0.750)
H (0.337, 0.519, 0.386)
H (0.481, 0.663, 0.114)
H (0.519, 0.337, 0.886)
H (0.663, 0.481, 0.614)

Main lines, sorted by position (10 to 90 degrees two-theta):
d = 3.188 Å, I 54
d = 3.004 Å, I 52
d = 2.972 Å, I 72
d = 2.868 Å, I 100
d = 2.804 Å, I 69
d = 2.712 Å, I 41


# 3
# NbCrHgOs2
Simulated powder diffraction line list, λ = 1.5418 Å (Cu Kα). Input: a DFT-relaxed cell (PBE, Alexandria).
No peak broadening, texture or thermal motion is included.

Crystal structure
a b c (Å): 4.418 4.418 4.833
angles (deg): 90.00 90.00 90.00
Element x y z (fractional)
Nb (0.000, 0.000, 0.000)
Cr (0.500, 0.500, 0.500)
Hg (0.500, 0.500, 0.000)
Os (0.000, 0.500, 0.500)
Os (0.500, 0.000, 0.500)

Main lines, sorted by position (10 to 90 degrees two-theta):
d = 2.624 Å, I 100
d = 2.417 Å, I 27
d = 2.209 Å, I 42
d = 1.631 Å, I 33
d = 1.432 Å, I 16
d = 1.342 Å, I 26


# 4
# ZnGaPd14
Simulated powder diffraction line list, λ = 1.5418 Å (Cu Kα). Input: a DFT-relaxed cell (PBE, Alexandria).
No peak broadening, texture or thermal motion is included.

Crystal structure
a b c (Å): 9.052 5.516 5.516
angles (deg): 62.14 90.00 90.00
Element x y z (fractional)
Zn (0.000, 0.000, 0.000)
Ga (0.000, 0.500, 0.500)
Pd (0.000, 0.007, 0.506)
Pd (0.000, 0.506, 0.007)
Pd (0.237, 0.315, 0.812)
Pd (0.237, 0.812, 0.315)
Pd (0.251, 0.315, 0.315)
Pd (0.251, 0.816, 0.816)
Pd (0.500, 0.139, 0.139)
Pd (0.500, 0.141, 0.641)
Pd (0.500, 0.639, 0.639)
Pd (0.500, 0.641, 0.141)
Pd (0.749, 0.315, 0.315)
Pd (0.749, 0.816, 0.816)
Pd (0.763, 0.315, 0.812)
Pd (0.763, 0.812, 0.315)

Main lines, sorted by position (10 to 90 degrees two-theta):
d = 2.355 Å, I 25
d = 2.286 Å, I 20
d = 2.263 Å, I 41
d = 2.147 Å, I 100
d = 2.094 Å, I 24
d = 1.177 Å, I 24